Structure and calculated X-ray diffraction stick pattern of Hg2Bi2Te5 (a crystal structure in Alexandria, relaxed with GGA-PBE; copper Kα).
Lines closer than 0.1° are merged.

Principal peaks in the range 10° ≤ 2θ ≤ 90°, low angle first:
Position (°2θ), I_rel
18.92, 47
22.13, 41
22.30, 31
23.46, 74
35.09, 64
38.72, 100
41.83, 36
43.43, 39

Structure:
Cell: 18.950 18.950 18.950 Å, 14.10 14.10 14.10°
Sites, in units of the cell vectors:
Hg 0.000 0.000 0.000
Hg 0.171 0.171 0.171
Bi 0.585 0.585 0.585
Bi 0.762 0.762 0.762
Te 0.069 0.069 0.069
Te 0.221 0.221 0.221
Te 0.685 0.685 0.685
Te 0.817 0.817 0.817
Te 0.947 0.947 0.947